No. 1
Computed X-ray diffraction stick pattern of Nd5ScTl5 for Cu Kα (λ = 1.5418 Å), from a cell relaxed with GGA-PBE.
Peak positions follow from Bragg's law for the DFT cell and can differ from measured ones.

Structure:
abc: 5.7279 7.2278 16.4952
angles: 90.00 90.00 90.00
Space group Immm (No. 71)
Inequivalent atoms, fractional coordinates:
Nd  0.0000  0.0000  0.0000 [2 per cell]
Nd  0.0000  0.0000  0.3082 [4 per cell]
Nd  0.0000  0.5000  0.3580 [4 per cell]
Sc  0.0000  0.5000  0.0000 [2 per cell]
Tl  0.0000  0.0000  0.5000 [2 per cell]
Tl  0.0000  0.2778  0.1569 [8 per cell]

Peak list (10 most intense, 2θ = 15–90°, by angle)
2theta  Rel. int.  index
29.41  43  1 1 4
29.74  55  1 2 1
31.23  61  2 0 0
32.57  38  0 0 6
32.96  16  0 2 4
33.55  100  1 2 3
45.75  30  2 0 6
50.52  14  0 4 0
57.07  22  3 2 3
60.59  15  2 4 0

No. 2
Computed X-ray diffraction stick pattern of HoPuSeS for Cu Kα (λ = 1.5418 Å), from a cell relaxed with GGA-PBE.
Peak positions follow from Bragg's law for the DFT cell and can differ from measured ones.

Structure:
abc: 3.9764 3.9764 19.9885
angles: 90.00 90.00 120.00
Space group R3m (No. 160, hexagonal axes)
Inequivalent atoms, fractional coordinates:
Ho  0.0000  0.0000  0.0000 [3 per cell]
Pu  0.0000  0.0000  0.5116 [3 per cell]
Se  0.0000  0.0000  0.7533 [3 per cell]
S  0.0000  0.0000  0.2578 [3 per cell]

Peak list (10 most intense, 2θ = 15–90°, by angle)
2theta  Rel. int.  index
26.76  15  0 0 6
27.39  44  0 1 2
31.55  100  1 0 4
44.82  36  0 1 8
45.63  37  1 1 0
53.69  14  1 1 6
56.53  19  0 2 4
74.28  15  1 1 12
75.48  17  2 1 4
83.80  12  1 2 8